Theoretical X-ray diffraction stick pattern of TmV3 for CuKα, from the GGA-PBE geometry in Alexandria.

Peak list (10 most intense, 2θ = 10–90°, low angle first)
Position (°2θ)  I/Imax
18.12  18
20.55  20
27.53  30
32.73  24
36.72  19
38.96  100
41.81  24
42.45  22
46.18  13
74.43  14

Atomic structure:
abc: 3.3003 4.3213 4.8947
angles: 90.00 90.00 90.00
Positions (direct):
Tm 0.0000 0.0000 0.0000
V 0.0000 0.5000 0.5501
V 0.5000 0.0000 0.4906
V 0.5000 0.5000 0.1737



Theoretical X-ray diffraction stick pattern of CaPmNd3 for CuKα, from the GGA-PBE geometry in Alexandria.

Peak list (10 most intense, 2θ = 10–90°, low angle first)
Position (°2θ)  I/Imax
28.02  15
28.30  37
29.36  100
32.14  57
32.39  71
36.93  24
47.52  17
55.59  16
58.53  19
63.99  23

Atomic structure:
abc: 6.3786 6.3786 11.4840
angles: 90.00 90.00 128.22
Positions (direct):
Ca 0.1562 0.8438 0.0000
Ca 0.8438 0.1562 0.0000
Pm 0.3621 0.6379 0.5000
Pm 0.6379 0.3621 0.5000
Nd 0.1532 0.8468 0.3056
Nd 0.1532 0.8468 0.6944
Nd 0.5000 0.5000 0.1864
Nd 0.5000 0.5000 0.8136
Nd 0.8468 0.1532 0.3056
Nd 0.8468 0.1532 0.6944



Theoretical X-ray diffraction stick pattern of La2Zn3Ga5 for CuKα, from the GGA-PBE geometry in Alexandria.

Peak list (10 most intense, 2θ = 10–90°, low angle first)
Position (°2θ)  I/Imax
28.77  16
32.77  60
33.57  100
41.14  59
48.11  27
53.56  29
59.59  19
65.12  21
70.16  23
86.54  12

Atomic structure:
abc: 4.3880 4.3880 10.4798
angles: 90.00 90.00 90.00
Positions (direct):
La 0.0000 0.5000 0.2475
La 0.5000 0.0000 0.7525
Zn 0.0000 0.0000 0.0000
Zn 0.0000 0.5000 0.8748
Zn 0.5000 0.0000 0.1252
Ga 0.0000 0.0000 0.5000
Ga 0.0000 0.5000 0.6398
Ga 0.5000 0.0000 0.3602
Ga 0.5000 0.5000 0.0000
Ga 0.5000 0.5000 0.5000



Theoretical X-ray diffraction stick pattern of Ac2Au3 for CuKα, from the GGA-PBE geometry in Alexandria.

Peak list (10 most intense, 2θ = 10–90°, low angle first)
Position (°2θ)  I/Imax
29.96  100
30.36  38
32.44  18
36.16  46
37.81  35
40.05  26
43.45  24
49.24  20
57.77  24
58.93  20

Atomic structure:
abc: 14.7110 14.7110 4.7586
angles: 90.00 90.00 163.72
Positions (direct):
Ac 0.0693 0.9307 0.7500
Ac 0.2015 0.7985 0.2500
Ac 0.7985 0.2015 0.7500
Ac 0.9307 0.0693 0.2500
Au 0.3180 0.6820 0.2500
Au 0.3810 0.6190 0.7500
Au 0.4761 0.5239 0.7500
Au 0.5239 0.4761 0.2500
Au 0.6190 0.3810 0.2500
Au 0.6820 0.3180 0.7500



Theoretical X-ray diffraction stick pattern of NaTh2CrN4 for CuKα, from the GGA-PBE geometry in Alexandria.

Peak list (10 most intense, 2θ = 10–90°, low angle first)
Position (°2θ)  I/Imax
14.58  100
15.80  52
25.53  43
26.13  63
28.22  45
29.53  63
31.91  37
33.92  43
35.84  65
39.75  46

Atomic structure:
abc: 6.5796 6.5796 12.1473
angles: 90.00 90.00 147.98
Positions (direct):
Na 0.0933 0.9067 0.7500
Na 0.9067 0.0933 0.2500
Th 0.3682 0.6318 0.5480
Th 0.3682 0.6318 0.9520
Th 0.6318 0.3682 0.0480
Th 0.6318 0.3682 0.4520
Cr 0.1926 0.8074 0.2500
Cr 0.8074 0.1926 0.7500
N 0.0000 0.0000 0.0000
N 0.0000 0.0000 0.5000
N 0.2491 0.7509 0.1063
N 0.2491 0.7509 0.3937
N 0.3688 0.6312 0.7500
N 0.6312 0.3688 0.2500
N 0.7509 0.2491 0.6063
N 0.7509 0.2491 0.8937



Theoretical X-ray diffraction stick pattern of MnAu2Br for CuKα, from the GGA-PBE geometry in Alexandria.

Peak list (10 most intense, 2θ = 10–90°, low angle first)
Position (°2θ)  I/Imax
13.44  100
27.07  19
27.77  33
30.92  25
31.71  50
39.99  29
40.35  68
40.63  23
45.83  30
53.21  16

Atomic structure:
abc: 4.8548 4.8548 6.6804
angles: 98.94 98.94 41.52
Positions (direct):
Mn 0.0000 0.0000 0.0000
Au 0.2740 0.2740 0.8420
Au 0.5396 0.5396 0.6965
Br 0.5747 0.5747 0.2860



Copy entry 4 word for word.
Theoretical X-ray diffraction stick pattern of Ac2Au3 for CuKα, from the GGA-PBE geometry in Alexandria.

Peak list (10 most intense, 2θ = 10–90°, low angle first)
Position (°2θ)  I/Imax
29.96  100
30.36  38
32.44  18
36.16  46
37.81  35
40.05  26
43.45  24
49.24  20
57.77  24
58.93  20

Atomic structure:
abc: 14.7110 14.7110 4.7586
angles: 90.00 90.00 163.72
Positions (direct):
Ac 0.0693 0.9307 0.7500
Ac 0.2015 0.7985 0.2500
Ac 0.7985 0.2015 0.7500
Ac 0.9307 0.0693 0.2500
Au 0.3180 0.6820 0.2500
Au 0.3810 0.6190 0.7500
Au 0.4761 0.5239 0.7500
Au 0.5239 0.4761 0.2500
Au 0.6190 0.3810 0.2500
Au 0.6820 0.3180 0.7500